Entry 1:
Theoretical X-ray powder pattern of HIrN3 for Cu Kα, from a structure optimized by DFT (PBE).

Largest 10 diffraction maxima, by angle, 2θ from 10° to 90°:
2θ = 23.35°, I 100, (1 0 0)
2θ = 33.25°, I 62, (1 1 0)
2θ = 41.03°, I 17, (1 1 1)
2θ = 47.74°, I 19, (2 0 0)
2θ = 53.80°, I 41, (2 1 0)
2θ = 59.42°, I 25, (2 1 1)
2θ = 69.82°, I 11, (2 2 0)
2θ = 74.74°, I 19, (3 0 0)
2θ = 79.56°, I 11, (3 1 0)
2θ = 84.30°, I 8, (3 1 1)

Atomic structure:
```
data_HIrN3
_symmetry_space_group_name_H-M 'P m -3 m'
_symmetry_Int_Tables_number 221
_symmetry_space_group_name_Hall '-P 4 2 3'
_cell_length_a 3.8102
_cell_length_b 3.8102
_cell_length_c 3.8102
_cell_angle_alpha 90.00
_cell_angle_beta 90.00
_cell_angle_gamma 90.00
loop_
_atom_site_label
_atom_site_type_symbol
_atom_site_fract_x
_atom_site_fract_y
_atom_site_fract_z
H1 H 0.0000 0.0000 0.0000
Ir1 Ir 0.5000 0.5000 0.5000
N1 N 0.0000 0.5000 0.5000
```

Entry 2:
Theoretical X-ray powder pattern of Mg14CuW for Cu Kα, from a structure optimized by DFT (PBE).

Largest 10 diffraction maxima, by angle, 2θ from 10° to 90°:
2θ = 16.57°, I 29, (0 0 2)
2θ = 17.87°, I 23, (2 0 0)
2θ = 18.71°, I 25, (1 1 1)
2θ = 18.84°, I 42, (1 0 2)
2θ = 24.46°, I 19, (2 0 2)
2θ = 33.19°, I 31, (0 2 2)
2θ = 36.19°, I 35, (4 0 0)
2θ = 37.95°, I 100, (2 2 2)
2θ = 38.21°, I 48, (2 0 4)
2θ = 49.92°, I 19, (4 2 2)

Atomic structure:
```
data_Mg14CuW
_symmetry_space_group_name_H-M 'A m m 2'
_symmetry_Int_Tables_number 38
_cell_length_a 9.9278
_cell_length_b 6.2518
_cell_length_c 10.7016
_cell_angle_alpha 90.00
_cell_angle_beta 90.00
_cell_angle_gamma 90.00
loop_
_symmetry_equiv_pos_as_xyz
'x,y,z'
'-x,-y,z'
'-x,y,z'
'x,-y,z'
'x,y+1/2,z+1/2'
'-x,-y+1/2,z+1/2'
'-x,y+1/2,z+1/2'
'x,-y+1/2,z+1/2'
loop_
_atom_site_label
_atom_site_type_symbol
_atom_site_fract_x
_atom_site_fract_y
_atom_site_fract_z
Mg1 Mg 0.0000 0.0000 0.0000
Mg2 Mg 0.0000 0.0000 0.4990
Mg3 Mg 0.0000 0.2494 0.7470
Mg4 Mg 0.2573 0.0000 0.8359
Mg5 Mg 0.2583 0.0000 0.3323
Mg6 Mg 0.2713 0.2492 0.0747
Mg7 Mg 0.5000 0.2472 0.7512
Cu1 Cu 0.5000 0.0000 0.4938
W1 W 0.5000 0.0000 0.9953
```

Entry 3:
Theoretical X-ray powder pattern of NdTiB12 for Cu Kα, from a structure optimized by DFT (PBE).

Largest 10 diffraction maxima, by angle, 2θ from 10° to 90°:
2θ = 10.79°, I 38, (0 0 1)
2θ = 21.64°, I 46, (1 0 0)
2θ = 24.22°, I 27, (1 0 1)
2θ = 30.79°, I 100, (1 1 0)
2θ = 32.71°, I 16, (0 0 3)
2θ = 37.95°, I 44, (1 1 2)
2θ = 49.61°, I 31, (2 1 0)
2θ = 49.71°, I 16, (1 0 4)
2θ = 54.76°, I 21, (2 1 2)
2θ = 68.55°, I 28, (2 2 2)

Atomic structure:
```
data_NdTiB12
_symmetry_space_group_name_H-M 'P 4/m m m'
_symmetry_Int_Tables_number 123
_symmetry_space_group_name_Hall '-P 4 2'
_cell_length_a 4.1100
_cell_length_b 4.1100
_cell_length_c 8.1985
_cell_angle_alpha 90.00
_cell_angle_beta 90.00
_cell_angle_gamma 90.00
loop_
_atom_site_label
_atom_site_type_symbol
_atom_site_fract_x
_atom_site_fract_y
_atom_site_fract_z
Nd1 Nd 0.0000 0.0000 0.0000
Ti1 Ti 0.0000 0.0000 0.5000
B1 B 0.1991 0.5000 0.2531
B2 B 0.5000 0.5000 0.1011
B3 B 0.5000 0.5000 0.4018
```

Entry 4:
Theoretical X-ray powder pattern of Re2AsRuRh for Cu Kα, from a structure optimized by DFT (PBE).

Largest 10 diffraction maxima, by angle, 2θ from 10° to 90°:
2θ = 19.76°, I 40, (0 0 1)
2θ = 27.52°, I 15, (1 0 1)
2θ = 33.63°, I 100, (1 1 1)
2θ = 38.46°, I 76, (2 0 0)
2θ = 40.14°, I 34, (0 0 2)
2θ = 43.60°, I 22, (2 0 1)
2θ = 55.52°, I 26, (2 2 0)
2θ = 56.80°, I 49, (2 0 2)
2θ = 66.50°, I 28, (3 1 1)
2θ = 70.69°, I 25, (2 2 2)

Atomic structure:
```
data_Re2AsRuRh
_symmetry_space_group_name_H-M 'P 4/m m m'
_symmetry_Int_Tables_number 123
_symmetry_space_group_name_Hall '-P 4 2'
_cell_length_a 4.6815
_cell_length_b 4.6815
_cell_length_c 4.4930
_cell_angle_alpha 90.00
_cell_angle_beta 90.00
_cell_angle_gamma 90.00
loop_
_atom_site_label
_atom_site_type_symbol
_atom_site_fract_x
_atom_site_fract_y
_atom_site_fract_z
Re1 Re 0.0000 0.5000 0.0000
As1 As 0.0000 0.0000 0.5000
Ru1 Ru 0.5000 0.5000 0.5000
Rh1 Rh 0.0000 0.0000 0.0000
```

Entry 5:
Theoretical X-ray powder pattern of Mg2InNi2 for Cu Kα, from a structure optimized by DFT (PBE).

Largest 10 diffraction maxima, by angle, 2θ from 10° to 90°:
2θ = 19.70°, I 24, (2 0 0)
2θ = 20.20°, I 51, (1 1 0)
2θ = 25.12°, I 100, (1 1 1)
2θ = 35.98°, I 27, (2 0 2)
2θ = 37.83°, I 49, (0 2 1)
2θ = 39.81°, I 51, (3 1 1)
2θ = 40.36°, I 68, (1 1 -3)
2θ = 41.00°, I 48, (4 0 -2)
2θ = 44.70°, I 45, (2 2 1)
2θ = 45.12°, I 23, (3 1 -3)

Atomic structure:
```
data_Mg2InNi2
_symmetry_space_group_name_H-M 'C 1 2/c 1'
_symmetry_Int_Tables_number 15
_cell_length_a 9.3769
_cell_length_b 5.0350
_cell_length_c 7.4828
_cell_angle_alpha 90.00
_cell_angle_beta 105.99
_cell_angle_gamma 90.00
loop_
_symmetry_equiv_pos_as_xyz
'x,y,z'
'-x,-y,-z'
'-x,y,-z+1/2'
'x,-y,z+1/2'
'x+1/2,y+1/2,z'
'-x+1/2,-y+1/2,-z'
'-x+1/2,y+1/2,-z+1/2'
'x+1/2,-y+1/2,z+1/2'
loop_
_atom_site_label
_atom_site_type_symbol
_atom_site_fract_x
_atom_site_fract_y
_atom_site_fract_z
Mg1 Mg 0.1577 0.1579 0.1523
In1 In 0.0000 0.3171 0.7500
Ni1 Ni 0.1367 0.3462 0.4992
```

Entry 6:
Theoretical X-ray powder pattern of AcRhN for Cu Kα, from a structure optimized by DFT (PBE).

Largest 10 diffraction maxima, by angle, 2θ from 10° to 90°:
2θ = 22.73°, I 14, (1 0 0)
2θ = 32.36°, I 47, (1 1 0)
2θ = 32.61°, I 100, (1 0 2)
2θ = 40.12°, I 9, (1 1 2)
2θ = 46.41°, I 20, (2 0 0)
2θ = 47.17°, I 10, (0 0 4)
2θ = 57.87°, I 40, (2 1 2)
2θ = 58.36°, I 18, (1 1 4)
2θ = 68.32°, I 13, (2 0 4)
2θ = 77.22°, I 9, (3 0 2)

Atomic structure:
```
data_AcRhN
_symmetry_space_group_name_H-M 'P 42/m m c'
_symmetry_Int_Tables_number 131
_symmetry_space_group_name_Hall '-P 4c 2'
_cell_length_a 3.9130
_cell_length_b 3.9130
_cell_length_c 7.7078
_cell_angle_alpha 90.00
_cell_angle_beta 90.00
_cell_angle_gamma 90.00
loop_
_atom_site_label
_atom_site_type_symbol
_atom_site_fract_x
_atom_site_fract_y
_atom_site_fract_z
Ac1 Ac 0.0000 0.0000 0.2500
Rh1 Rh 0.5000 0.5000 0.0000
N1 N 0.0000 0.5000 0.0000
```

Entry 7:
Theoretical X-ray powder pattern of Ca2Ni6AsP for Cu Kα, from a structure optimized by DFT (PBE).

Largest 10 diffraction maxima, by angle, 2θ from 10° to 90°:
2θ = 20.40°, I 28, (1 0 1)
2θ = 21.42°, I 37, (0 2 0)
2θ = 31.07°, I 35, (1 0 2)
2θ = 38.03°, I 100, (2 2 0)
2θ = 41.48°, I 57, (2 0 2)
2θ = 42.24°, I 29, (0 1 3)
2θ = 43.64°, I 60, (0 4 0)
2θ = 47.14°, I 31, (2 2 2)
2θ = 49.25°, I 48, (1 2 3)
2θ = 61.78°, I 27, (2 4 2)

Atomic structure:
```
data_Ca2Ni6AsP
_symmetry_space_group_name_H-M 'P m m n'
_symmetry_Int_Tables_number 59
_cell_length_a 5.7660
_cell_length_b 8.2957
_cell_length_c 6.6426
_cell_angle_alpha 90.00
_cell_angle_beta 90.00
_cell_angle_gamma 90.00
loop_
_symmetry_equiv_pos_as_xyz
'x,y,z'
'-x,-y,-z'
'-x+1/2,-y+1/2,z'
'x+1/2,y+1/2,-z'
'x+1/2,-y,-z'
'-x+1/2,y,z'
'-x,y+1/2,-z'
'x,-y+1/2,z'
loop_
_atom_site_label
_atom_site_type_symbol
_atom_site_fract_x
_atom_site_fract_y
_atom_site_fract_z
Ca1 Ca 0.2500 0.0396 0.2076
Ni1 Ni 0.0366 0.7500 0.4695
Ni2 Ni 0.0426 0.7500 0.0730
Ni3 Ni 0.2500 0.0037 0.6232
As1 As 0.2500 0.7500 0.7763
P1 P 0.2500 0.2500 0.7379
```

Entry 8:
Theoretical X-ray powder pattern of Th5UTc6 for Cu Kα, from a structure optimized by DFT (PBE).

Largest 10 diffraction maxima, by angle, 2θ from 10° to 90°:
2θ = 26.09°, I 52, (1 0 -1)
2θ = 31.58°, I 23, (1 -2 0)
2θ = 32.85°, I 100, (0 0 3)
2θ = 32.96°, I 39, (1 -2 1)
2θ = 34.01°, I 43, (1 2 2)
2θ = 37.68°, I 47, (1 2 -1)
2θ = 39.61°, I 54, (1 2 3)
2θ = 41.24°, I 47, (2 0 1)
2θ = 49.04°, I 23, (0 4 1)
2θ = 53.68°, I 31, (2 0 4)

Atomic structure:
```
data_Th5UTc6
_symmetry_space_group_name_H-M 'P -1'
_symmetry_Int_Tables_number 2
_cell_length_a 4.3783
_cell_length_b 7.4474
_cell_length_c 8.5731
_cell_angle_alpha 81.17
_cell_angle_beta 75.24
_cell_angle_gamma 89.89
loop_
_symmetry_equiv_pos_as_xyz
'x,y,z'
'-x,-y,-z'
loop_
_atom_site_label
_atom_site_type_symbol
_atom_site_fract_x
_atom_site_fract_y
_atom_site_fract_z
Th1 Th 0.0000 0.0000 0.0000
Th2 Th 0.3255 0.4045 0.3489
Th3 Th 0.3284 0.9064 0.3437
U1 U 0.0000 0.5000 0.0000
Tc1 Tc 0.1278 0.3364 0.7431
Tc2 Tc 0.1374 0.8258 0.7255
Tc3 Tc 0.4973 0.2991 0.0029
```

Entry 9:
Theoretical X-ray powder pattern of Na2MgIn5 for Cu Kα, from a structure optimized by DFT (PBE).

Largest 10 diffraction maxima, by angle, 2θ from 10° to 90°:
2θ = 18.68°, I 17, (0 0 4)
2θ = 26.99°, I 15, (1 1 0)
2θ = 33.03°, I 100, (1 1 4)
2θ = 37.89°, I 16, (0 0 8)
2θ = 38.55°, I 33, (2 0 0)
2θ = 55.16°, I 21, (2 0 8)
2θ = 55.65°, I 11, (2 2 0)
2θ = 65.37°, I 11, (1 1 12)
2θ = 66.26°, I 25, (3 1 4)
2θ = 69.30°, I 10, (2 2 8)

Atomic structure:
```
data_Na2MgIn5
_symmetry_space_group_name_H-M 'I 4/m m m'
_symmetry_Int_Tables_number 139
_symmetry_space_group_name_Hall '-I 4 2'
_cell_length_a 4.6713
_cell_length_b 4.6713
_cell_length_c 18.9967
_cell_angle_alpha 90.00
_cell_angle_beta 90.00
_cell_angle_gamma 90.00
loop_
_atom_site_label
_atom_site_type_symbol
_atom_site_fract_x
_atom_site_fract_y
_atom_site_fract_z
Na1 Na 0.0000 0.0000 0.2483
Mg1 Mg 0.0000 0.0000 0.0000
In1 In 0.0000 0.0000 0.5000
In2 In 0.0000 0.5000 0.1187
```

Entry 10:
Theoretical X-ray powder pattern of Li7Zn2Ga2 for Cu Kα, from a structure optimized by DFT (PBE).

Largest 10 diffraction maxima, by angle, 2θ from 10° to 90°:
2θ = 20.68°, I 100, (1 1 1)
2θ = 23.68°, I 54, (2 0 1)
2θ = 25.57°, I 51, (0 0 2)
2θ = 28.92°, I 54, (0 2 1)
2θ = 32.80°, I 34, (3 1 0)
2θ = 40.57°, I 23, (1 3 0)
2θ = 42.05°, I 47, (3 1 -2)
2θ = 42.55°, I 27, (4 0 1)
2θ = 48.59°, I 34, (1 3 2)
2θ = 51.99°, I 32, (3 3 1)

Atomic structure:
```
data_Li7Zn2Ga2
_symmetry_space_group_name_H-M 'C 1 2/m 1'
_symmetry_Int_Tables_number 12
_cell_length_a 8.9246
_cell_length_b 6.8887
_cell_length_c 6.9672
_cell_angle_alpha 90.00
_cell_angle_beta 90.09
_cell_angle_gamma 90.00
loop_
_symmetry_equiv_pos_as_xyz
'x,y,z'
'-x,-y,-z'
'-x,y,-z'
'x,-y,z'
'x+1/2,y+1/2,z'
'-x+1/2,-y+1/2,-z'
'-x+1/2,y+1/2,-z'
'x+1/2,-y+1/2,z'
loop_
_atom_site_label
_atom_site_type_symbol
_atom_site_fract_x
_atom_site_fract_y
_atom_site_fract_z
Li1 Li 0.0000 0.0000 0.0000
Li2 Li 0.0004 0.5000 0.3267
Li3 Li 0.2499 0.2496 0.2840
Zn1 Zn 0.1458 0.5000 0.0000
Ga1 Ga 0.0000 0.1722 0.5000
```

Entry 11:
Theoretical X-ray powder pattern of Tb2ErHfAs4 for Cu Kα, from a structure optimized by DFT (PBE).

Largest 10 diffraction maxima, by angle, 2θ from 10° to 90°:
2θ = 27.06°, I 25, (0 0 2)
2θ = 31.35°, I 100, (1 1 1)
2θ = 44.81°, I 12, (2 0 2)
2θ = 44.94°, I 62, (0 2 0)
2θ = 55.73°, I 13, (4 0 0)
2θ = 55.87°, I 13, (2 2 -2)
2θ = 74.33°, I 16, (4 2 0)
2θ = 74.40°, I 11, (1 3 1)
2θ = 82.91°, I 8, (1 3 -3)
2θ = 82.97°, I 8, (3 3 -1)

Atomic structure:
```
data_Tb2ErHfAs4
_symmetry_space_group_name_H-M 'P 1 2/m 1'
_symmetry_Int_Tables_number 10
_cell_length_a 6.9873
_cell_length_b 4.0313
_cell_length_c 6.9916
_cell_angle_alpha 90.00
_cell_angle_beta 109.28
_cell_angle_gamma 90.00
loop_
_symmetry_equiv_pos_as_xyz
'x,y,z'
'-x,-y,-z'
'-x,y,-z'
'x,-y,z'
loop_
_atom_site_label
_atom_site_type_symbol
_atom_site_fract_x
_atom_site_fract_y
_atom_site_fract_z
Tb1 Tb 0.0000 0.0000 0.0000
Tb2 Tb 0.5000 0.5000 0.0000
Er1 Er 0.0000 0.5000 0.5000
Hf1 Hf 0.5000 0.0000 0.5000
As1 As 0.2546 0.0000 0.7403
As2 As 0.2621 0.5000 0.2646
```

Entry 12:
Theoretical X-ray powder pattern of MgZr3N for Cu Kα, from a structure optimized by DFT (PBE).

Largest 10 diffraction maxima, by angle, 2θ from 10° to 90°:
2θ = 13.62°, I 54, (0 0 1)
2θ = 19.94°, I 15, (0 1 0)
2θ = 33.56°, I 100, (1 1 0)
2θ = 34.16°, I 93, (0 1 2)
2θ = 38.67°, I 78, (1 0 2)
2θ = 40.52°, I 35, (0 2 0)
2θ = 55.03°, I 14, (2 0 0)
2θ = 57.26°, I 48, (1 2 2)
2θ = 66.33°, I 16, (2 1 -2)
2θ = 66.45°, I 16, (2 1 2)

Atomic structure:
```
data_MgZr3N
_symmetry_space_group_name_H-M 'P 1 2/m 1'
_symmetry_Int_Tables_number 10
_cell_length_a 3.3372
_cell_length_b 4.4522
_cell_length_c 6.5001
_cell_angle_alpha 90.00
_cell_angle_beta 90.13
_cell_angle_gamma 90.00
loop_
_symmetry_equiv_pos_as_xyz
'x,y,z'
'-x,-y,-z'
'-x,y,-z'
'x,-y,z'
loop_
_atom_site_label
_atom_site_type_symbol
_atom_site_fract_x
_atom_site_fract_y
_atom_site_fract_z
Mg1 Mg 0.0000 0.0000 0.0000
Zr1 Zr 0.0000 0.0000 0.5000
Zr2 Zr 0.4991 0.5000 0.2650
N1 N 0.0000 0.5000 0.5000
```